This entry pairs a crystal structure of CaMo2O7 with its computed powder XRD pattern. Radiation: Cu Kα, 1.54184 Å. Structure: a GGA+U-relaxed structure.

Unit cell a=7.1326 b=7.4945 c=7.4918 alpha=90.00 beta=101.16 gamma=90.00
Element x y z (fractional)
Ca 0.1310 0.0000 0.0357
Ca 0.8690 0.5000 0.9643
Mo 0.2472 0.0943 0.5646
Mo 0.3512 0.5064 0.0892
Mo 0.6488 0.0064 0.9108
Mo 0.7528 0.5943 0.4354
O 0.1071 0.0231 0.7231
O 0.1713 0.9950 0.3466
O 0.1862 0.6842 0.0223
O 0.2017 0.3148 0.0568
O 0.2310 0.3234 0.5450
O 0.4788 0.9964 0.0522
O 0.4885 0.5323 0.3287
O 0.5115 0.0323 0.6713
O 0.5212 0.4964 0.9478
O 0.7690 0.8234 0.4550
O 0.7983 0.8148 0.9432
O 0.8138 0.1842 0.9777
O 0.8287 0.4950 0.6534
O 0.8929 0.5231 0.2769

The 12 most intense peaks (2θ from 10° to 90°), most intense first:
h k l, 2θ (°), I (rel.)
1 1 -1, 19.69, 100.0
0 2 0, 23.74, 54.2
0 1 1, 16.90, 39.9
2 1 0, 28.15, 32.6
0 0 2, 24.22, 29.7
1 1 0, 17.34, 27.9
1 1 1, 22.54, 26.5
1 0 -2, 25.09, 23.7
2 0 0, 25.46, 17.8
1 0 2, 29.56, 17.6
3 1 -1, 40.04, 16.2
0 2 1, 26.70, 14.8